This entry pairs a crystal structure of TmH9C5N2O8 with its calculated powder diffractogram. Radiation: Cu Kα (weighted mean of Kα1 and Kα2). Structure: a GGA-PBE-relaxed structure.

Most intense lines, 15 to 90 degrees two-theta, in order of falling intensity:
| two_theta | I (rel.) | index |
| --- | --- | --- |
| 15.26 | 100.0 | 1 1 0 |
| 19.06 | 49.5 | 1 1 -1 |
| 23.17 | 39.6 | 1 1 1 |
| 17.03 | 30.5 | 2 0 0 |
| 28.71 | 28.4 | 3 1 0 |
| 45.48 | 25.8 | 5 1 0 |
| 18.29 | 24.8 | 2 0 -1 |
| 34.45 | 21.1 | 3 1 -2 |
| 30.80 | 20.8 | 2 2 0 |
| 30.62 | 20.1 | 1 1 -2 |

Cell and atoms:
a b c (Å): 11.0818 6.9947 6.4368
angles (deg): 90.00 110.02 90.00
Space group C2 (No. 5)
Unique sites:
Tm1 0.0000 0.0000 0.0000 [2 per cell]
H1 0.0000 0.9121 0.5000 [2 per cell]
H2 0.0039 0.5445 0.1792 [4 per cell]
H3 0.1280 0.3739 0.4687 [4 per cell]
H4 0.1864 0.3431 0.8682 [4 per cell]
H5 0.2288 0.5718 0.5961 [4 per cell]
C1 0.0000 0.0693 0.5000 [2 per cell]
C2 0.0881 0.6173 0.2959 [4 per cell]
C3 0.2385 0.2920 0.0384 [4 per cell]
N1 0.1556 0.5131 0.4659 [4 per cell]
O1 0.0046 0.1552 0.3289 [4 per cell]
O2 0.1147 0.7874 0.2639 [4 per cell]
O3 0.1463 0.8391 0.8673 [4 per cell]
O4 0.1756 0.1866 0.1267 [4 per cell]

=====

This entry pairs a crystal structure of TmH9C5N2O8 with its calculated powder diffractogram. Radiation: Cu Kα (weighted mean of Kα1 and Kα2). Structure: a GGA-PBE-relaxed structure.

Most intense lines, 15 to 90 degrees two-theta, in order of falling intensity:
| two_theta | I (rel.) | index |
| --- | --- | --- |
| 17.97 | 100.0 | 1 1 1 |
| 29.26 | 33.5 | 0 4 2 |
| 30.97 | 32.6 | 2 2 1 |
| 19.95 | 30.0 | 1 3 0 |
| 29.55 | 29.7 | 1 3 2 |
| 21.57 | 20.2 | 0 0 2 |
| 30.12 | 18.4 | 1 5 1 |
| 22.71 | 17.9 | 1 3 1 |
| 43.44 | 17.3 | 1 7 2 |
| 33.71 | 17.3 | 2 4 0 |

Cell and atoms:
a b c (Å): 6.5557 18.1842 8.2378
angles (deg): 90.00 90.00 90.00
Space group C222_1 (No. 20)
Unique sites:
Tm1 0.0000 0.1424 0.2500 [4 per cell]
H1 0.0000 0.3125 0.7500 [4 per cell]
H2 0.0000 0.3450 0.2500 [4 per cell]
H3 0.1626 0.4946 0.1723 [8 per cell]
H4 0.2134 0.2900 0.4383 [8 per cell]
H5 0.2406 0.4067 0.0972 [8 per cell]
H6 0.2486 0.0000 0.0000 [4 per cell]
C1 0.0000 0.3733 0.7500 [4 per cell]
C2 0.0000 0.4052 0.2500 [4 per cell]
C3 0.0799 0.0000 0.0000 [4 per cell]
C4 0.2331 0.2442 0.5259 [8 per cell]
N1 0.1426 0.4385 0.1652 [8 per cell]
O1 0.0137 0.0515 0.4296 [8 per cell]
O2 0.1679 0.4060 0.7260 [8 per cell]
O3 0.1693 0.1813 0.4849 [8 per cell]
O4 0.1808 0.2424 0.1601 [8 per cell]

=====

This entry pairs a crystal structure of ZnH5C8NO4 with its calculated powder diffractogram. Radiation: Cu Kα (weighted mean of Kα1 and Kα2). Structure: a GGA-PBE-relaxed structure.

Most intense lines, 15 to 90 degrees two-theta, in order of falling intensity:
| two_theta | I (rel.) | index |
| --- | --- | --- |
| 15.43 | 100.0 | 0 1 -1 |
| 16.73 | 96.8 | 1 0 -1 |
| 23.44 | 44.4 | 0 1 -2 |
| 32.28 | 40.2 | -2 2 1 |
| 24.59 | 35.9 | 1 -2 0 |
| 27.30 | 35.0 | 0 2 -1 |
| 29.68 | 33.8 | 1 -2 2 |
| 39.37 | 31.2 | -2 2 2 |
| 42.85 | 27.8 | -2 1 3 |
| 24.31 | 26.1 | 1 1 0 |

Cell and atoms:
a b c (Å): 7.2203 7.4599 8.0211
angles (deg): 103.77 91.29 117.90
Space group P-1 (No. 2)
Unique sites:
Zn1 0.1681 0.3766 0.0105 [2 per cell]
H1 0.0160 0.2402 0.2632 [2 per cell]
H2 0.1454 0.1177 0.1704 [2 per cell]
H3 0.1501 0.4747 0.5452 [2 per cell]
H4 0.1510 0.9848 0.5190 [2 per cell]
H5 0.4538 0.6826 0.7849 [2 per cell]
C1 0.1682 0.7813 0.2006 [2 per cell]
C2 0.3027 0.9879 0.5096 [2 per cell]
C3 0.3042 0.4877 0.5242 [2 per cell]
C4 0.3300 0.3843 0.3644 [2 per cell]
C5 0.3400 0.8883 0.3543 [2 per cell]
C6 0.4212 0.2159 0.8167 [2 per cell]
C7 0.4610 0.1000 0.6551 [2 per cell]
C8 0.4737 0.6032 0.6595 [2 per cell]
N1 0.1573 0.2651 0.2227 [2 per cell]
O1 0.0165 0.5933 0.1843 [2 per cell]
O2 0.1663 0.8846 0.0966 [2 per cell]
O3 0.2330 0.1841 0.8229 [2 per cell]
O4 0.4243 0.6619 0.0597 [2 per cell]